The following is a theoretical powder diffraction line list of Li4Fe3Ni2O10. It was derived from a cell relaxed with GGA+U, using Cu Ka.
No peak broadening, texture or thermal motion is included.

Cell and atoms:
```
data_Li4Fe3Ni2O10
_symmetry_space_group_name_H-M 'P 1'
_symmetry_Int_Tables_number 1
_cell_length_a 5.0999
_cell_length_b 5.1239
_cell_length_c 7.7587
_cell_angle_alpha 71.01
_cell_angle_beta 71.05
_cell_angle_gamma 79.64
loop_
_symmetry_equiv_pos_as_xyz
'x,y,z'
loop_
_atom_site_label
_atom_site_type_symbol
_atom_site_fract_x
_atom_site_fract_y
_atom_site_fract_z
Li1 Li 0.0000 0.0000 0.0000
Li2 Li 0.1224 0.4999 0.2743
Li3 Li 0.2934 0.4723 0.9157
Li4 Li 0.7231 0.5000 0.0815
Fe1 Fe 0.1773 0.9930 0.6209
Fe2 Fe 0.4961 0.4878 0.5138
Fe3 Fe 0.8035 0.9893 0.3936
Ni1 Ni 0.3959 0.9813 0.1984
Ni2 Ni 0.5962 0.9742 0.8131
O1 O 0.0494 0.2201 0.1677
O2 O 0.1746 0.7662 0.4368
O3 O 0.2838 0.2199 0.7520
O4 O 0.3751 0.7505 0.0367
O5 O 0.4447 0.2374 0.3685
O6 O 0.5326 0.7550 0.6518
O7 O 0.6145 0.1847 0.9690
O8 O 0.7316 0.7333 0.2746
O9 O 0.8194 0.2030 0.5730
O10 O 0.9303 0.7710 0.8477
```

Top 10 peaks for 10° ≤ 2θ ≤ 80°, by angle:
hkl 0 0 1, 12.59°, I = 349; hkl 0 1 0, 18.40°, I = 1000; hkl 1 1 1, 22.74°, I = 204; hkl 0 1 2, 26.77°, I = 261; hkl 1 1 3, 35.87°, I = 198; hkl 2 1 1, 37.22°, I = 165; hkl 1 1 -2, 43.17°, I = 416; hkl 1 2 3, 43.44°, I = 416; hkl 2 -1 1, 43.75°, I = 397; hkl 3 1 4, 63.36°, I = 316